Structure and calculated powder diffraction line list of BaPrGaN2 (the GGA-PBE geometry in Alexandria; Cu Kα X-rays).
Neutral-atom scattering factors, no anomalous dispersion.

Most intense lines, 2θ = 15–90°, low angle first:
| Position (°2θ) | intensity |
| --- | --- |
| 22.2 | 476 |
| 29.8 | 294 |
| 33.2 | 217 |
| 33.4 | 1000 |
| 39.0 | 132 |
| 45.2 | 238 |
| 55.2 | 238 |
| 59.4 | 191 |

Cell and atoms:
a b c (Å): 5.988 5.395 7.237
angles (deg): 90.00 90.01 90.00
Space group P2/c (No. 13)
Symmetry-distinct sites (fractional):
Ba1 0.000 0.001 0.250 (multiplicity 2)
Pr1 0.500 0.500 0.250 (multiplicity 2)
Ga1 0.500 0.000 0.000 (multiplicity 2)
N1 0.300 0.270 0.000 (multiplicity 4)

Structure and calculated powder diffraction line list of Ba2GaSbN (the GGA-PBE geometry in Alexandria; Cu Kα X-rays).
Neutral-atom scattering factors, no anomalous dispersion.

Most intense lines, 2θ = 15–90°, low angle first:
| Position (°2θ) | intensity |
| --- | --- |
| 26.0 | 418 |
| 27.0 | 348 |
| 27.8 | 1000 |
| 28.1 | 613 |
| 29.2 | 408 |
| 33.2 | 463 |
| 33.3 | 436 |
| 41.0 | 419 |

Cell and atoms:
a b c (Å): 7.358 4.399 9.871
angles (deg): 90.00 111.44 90.00
Space group P2_1/m (No. 11)
Symmetry-distinct sites (fractional):
Ba1 0.206 0.250 0.382 (multiplicity 2)
Ba2 0.207 0.250 0.974 (multiplicity 2)
Ga1 0.451 0.750 0.263 (multiplicity 2)
Sb1 0.317 0.750 0.705 (multiplicity 2)
N1 0.180 0.750 0.156 (multiplicity 2)

What did the first record say?
Structure and calculated powder diffraction line list of BaPrGaN2 (the GGA-PBE geometry in Alexandria; Cu Kα X-rays).
Neutral-atom scattering factors, no anomalous dispersion.

Most intense lines, 2θ = 15–90°, low angle first:
| Position (°2θ) | intensity |
| --- | --- |
| 22.2 | 476 |
| 29.8 | 294 |
| 33.2 | 217 |
| 33.4 | 1000 |
| 39.0 | 132 |
| 45.2 | 238 |
| 55.2 | 238 |
| 59.4 | 191 |

Cell and atoms:
a b c (Å): 5.988 5.395 7.237
angles (deg): 90.00 90.01 90.00
Space group P2/c (No. 13)
Symmetry-distinct sites (fractional):
Ba1 0.000 0.001 0.250 (multiplicity 2)
Pr1 0.500 0.500 0.250 (multiplicity 2)
Ga1 0.500 0.000 0.000 (multiplicity 2)
N1 0.300 0.270 0.000 (multiplicity 4)